The following is a simulated XRD peak list of InGa2N3. It was derived from a GGA-PBE-relaxed structure, using copper Kα.

Atomic structure:
```
data_InGa2N3
_chemical_formula_sum 'In4 Ga8 N12'
_space_group_name_H-M_alt 'C m c 21'
_space_group_IT_number 36
_cell_length_a 10.0087
_cell_length_b 5.7730
_cell_length_c 5.3903
_cell_angle_alpha 90.00
_cell_angle_beta 90.00
_cell_angle_gamma 90.00
loop_
_space_group_symop_operation_xyz
'x,y,z'
'-x,-y,z+1/2'
'-x,y,z'
'x,-y,z+1/2'
'x+1/2,y+1/2,z'
'-x+1/2,-y+1/2,z+1/2'
'-x+1/2,y+1/2,z'
'x+1/2,-y+1/2,z+1/2'
loop_
_atom_site_label
_atom_site_fract_x
_atom_site_fract_y
_atom_site_fract_z
In1 0.0000 0.1747 0.0000
Ga1 0.1705 0.3366 0.5029
N1 0.0000 0.1926 0.4057
N2 0.1803 0.3466 0.8692
```

Main lines, low angle first (2θ from 10° to 90°):
hkl  two_theta  I (rel.)
1 1 1  24.28  6
0 2 0  30.97  39
0 0 2  33.24  34
3 1 1  35.26  100
0 2 2  46.07  20
6 0 0  55.08  27
3 1 3  60.71  28
6 0 2  65.87  26
0 4 1  67.11  15
0 4 3  86.46  10